No. 1
# Si
Calculated powder XRD pattern, copper Kα. Input: a crystal structure in the Materials Project, relaxed with PBE.

The 12 most intense peaks (2θ = 10–80°), in order of rising 2θ:
- 2θ = 20.1°, rel. 22
- 2θ = 28.6°, rel. 41
- 2θ = 35.2°, rel. 16
- 2θ = 40.9°, rel. 53
- 2θ = 46.0°, rel. 100
- 2θ = 55.0°, rel. 10
- 2θ = 59.2°, rel. 26
- 2θ = 63.3°, rel. 3
- 2θ = 67.0°, rel. 3
- 2θ = 70.8°, rel. 1
- 2θ = 74.5°, rel. 15
- 2θ = 78.0°, rel. 23

Structural model:
```
Si
1.0
5.092 0.000 0.000
-2.546 4.410 0.000
0.000 0.000 4.419
Si
6
direct
0.165 0.330 0.250 Si
0.165 0.835 0.250 Si
0.330 0.165 0.750 Si
0.670 0.835 0.250 Si
0.835 0.165 0.750 Si
0.835 0.670 0.750 Si
```



No. 2
# SbSO6
Calculated powder XRD pattern, copper Kα. Input: a crystal structure in the Materials Project, relaxed with PBE.

The 12 most intense peaks (2θ = 10–80°), in order of rising 2θ:
- 2θ = 16.6°, rel. 59
- 2θ = 17.3°, rel. 38
- 2θ = 18.3°, rel. 15
- 2θ = 20.7°, rel. 100
- 2θ = 22.6°, rel. 37
- 2θ = 30.6°, rel. 58
- 2θ = 31.4°, rel. 18
- 2θ = 32.3°, rel. 33
- 2θ = 36.6°, rel. 20
- 2θ = 38.1°, rel. 17
- 2θ = 40.7°, rel. 15
- 2θ = 44.3°, rel. 16

Structural model:
```
SbSO6
1.0
5.828 0.000 0.000
0.000 13.531 0.000
-3.919 0.000 5.833
Sb S O
4 4 24
direct
0.074 0.081 0.401 Sb
0.074 0.419 0.901 Sb
0.926 0.581 0.099 Sb
0.926 0.919 0.599 Sb
0.431 0.679 0.597 S
0.431 0.821 0.097 S
0.569 0.179 0.903 S
0.569 0.321 0.403 S
0.084 0.565 0.913 O
0.084 0.935 0.413 O
0.218 0.739 0.582 O
0.218 0.761 0.082 O
0.244 0.110 0.239 O
0.244 0.390 0.739 O
0.319 0.605 0.395 O
0.319 0.895 0.895 O
0.337 0.231 0.888 O
0.337 0.269 0.388 O
0.454 0.107 0.700 O
0.454 0.393 0.200 O
0.546 0.607 0.800 O
0.546 0.893 0.300 O
0.663 0.731 0.612 O
0.663 0.769 0.112 O
0.681 0.105 0.105 O
0.681 0.395 0.605 O
0.756 0.610 0.261 O
0.756 0.890 0.761 O
0.782 0.239 0.918 O
0.782 0.261 0.418 O
0.916 0.065 0.587 O
0.916 0.435 0.087 O
```



No. 3
# B4C
Calculated powder XRD pattern, copper Kα. Input: a crystal structure in the Materials Project, relaxed with PBE.

The 12 most intense peaks (2θ = 10–80°), in order of rising 2θ:
- 2θ = 19.6°, rel. 18
- 2θ = 22.1°, rel. 32
- 2θ = 23.1°, rel. 36
- 2θ = 23.8°, rel. 46
- 2θ = 32.0°, rel. 16
- 2θ = 34.7°, rel. 61
- 2θ = 35.7°, rel. 32
- 2θ = 37.6°, rel. 48
- 2θ = 38.0°, rel. 100
- 2θ = 64.0°, rel. 17
- 2θ = 65.2°, rel. 18
- 2θ = 66.9°, rel. 16

Structural model:
```
B4C
1.0
4.390 -2.802 0.000
4.390 2.802 0.000
-2.434 0.000 4.431
B C
12 3
direct
0.000 0.000 0.000 B
0.175 0.497 0.504 B
0.187 0.696 0.294 B
0.303 0.816 0.689 B
0.310 0.310 0.177 B
0.497 0.175 0.504 B
0.505 0.830 0.483 B
0.507 0.507 0.151 B
0.692 0.692 0.807 B
0.696 0.187 0.294 B
0.816 0.303 0.689 B
0.830 0.505 0.483 B
0.121 0.121 0.885 C
0.496 0.496 0.814 C
0.875 0.875 0.106 C
```



No. 4
# Ba2NdTlCu2O7
Calculated powder XRD pattern, copper Kα. Input: a crystal structure in the Materials Project, relaxed with PBE.

The 12 most intense peaks (2θ = 10–80°), in order of rising 2θ:
- 2θ = 26.5°, rel. 21
- 2θ = 30.8°, rel. 100
- 2θ = 32.1°, rel. 62
- 2θ = 34.8°, rel. 11
- 2θ = 36.0°, rel. 11
- 2θ = 42.9°, rel. 15
- 2θ = 46.0°, rel. 14
- 2θ = 46.2°, rel. 16
- 2θ = 53.9°, rel. 16
- 2θ = 55.1°, rel. 11
- 2θ = 56.4°, rel. 17
- 2θ = 56.5°, rel. 18

Structural model:
```
Ba2NdTlCu2O7
1.0
3.929 0.000 0.000
0.000 12.882 0.000
0.000 0.000 3.948
Ba Nd Tl Cu O
2 1 1 2 7
direct
0.000 0.205 0.000 Ba
0.000 0.795 0.000 Ba
0.000 0.500 0.996 Nd
0.500 0.000 0.565 Tl
0.500 0.364 0.496 Cu
0.500 0.636 0.496 Cu
0.000 0.000 0.885 O
0.000 0.381 0.498 O
0.000 0.619 0.498 O
0.500 0.167 0.488 O
0.500 0.380 0.996 O
0.500 0.620 0.996 O
0.500 0.833 0.488 O
```



No. 5
# NaMg6V
Calculated powder XRD pattern, copper Kα. Input: a crystal structure in the Materials Project, relaxed with PBE.

The 12 most intense peaks (2θ = 10–80°), in order of rising 2θ:
- 2θ = 32.4°, rel. 14
- 2θ = 32.6°, rel. 22
- 2θ = 34.6°, rel. 40
- 2θ = 36.8°, rel. 47
- 2θ = 37.0°, rel. 100
- 2θ = 48.2°, rel. 14
- 2θ = 57.8°, rel. 16
- 2θ = 63.4°, rel. 9
- 2θ = 63.5°, rel. 19
- 2θ = 69.2°, rel. 18
- 2θ = 69.5°, rel. 9
- 2θ = 70.9°, rel. 12

Structural model:
```
NaMg6V
1.0
5.190 0.000 0.000
0.000 3.167 5.534
0.000 -3.167 5.534
Na Mg V
1 6 1
direct
0.000 0.000 0.000 Na
0.000 0.004 0.485 Mg
0.000 0.485 0.004 Mg
0.000 0.499 0.499 Mg
0.500 0.165 0.663 Mg
0.500 0.663 0.165 Mg
0.500 0.666 0.666 Mg
0.500 0.171 0.171 V
```



No. 6
# Ba6MgSc2C2O6F14
Calculated powder XRD pattern, copper Kα. Input: a crystal structure in the Materials Project, relaxed with PBE.

The 12 most intense peaks (2θ = 10–80°), in order of rising 2θ:
- 2θ = 19.3°, rel. 24
- 2θ = 22.8°, rel. 35
- 2θ = 23.0°, rel. 100
- 2θ = 24.8°, rel. 82
- 2θ = 25.7°, rel. 51
- 2θ = 25.9°, rel. 38
- 2θ = 26.9°, rel. 25
- 2θ = 29.2°, rel. 56
- 2θ = 37.3°, rel. 37
- 2θ = 39.2°, rel. 56
- 2θ = 40.9°, rel. 25
- 2θ = 49.1°, rel. 24

Structural model:
```
Ba6MgSc2C2O6F14
1.0
8.892 0.000 0.000
0.000 6.126 0.000
-0.972 0.000 9.944
Ba Mg Sc C O F
6 1 2 2 6 14
direct
0.000 0.000 0.000 Ba
0.077 0.000 0.496 Ba
0.224 0.500 0.220 Ba
0.406 0.500 0.871 Ba
0.593 0.000 0.602 Ba
0.760 0.500 0.275 Ba
0.342 0.500 0.535 Mg
0.433 0.000 0.120 Sc
0.926 0.500 0.672 Sc
0.644 0.000 0.944 C
0.771 0.500 0.887 C
0.496 0.000 0.914 O
0.690 0.500 0.985 O
0.693 0.000 0.070 O
0.709 0.500 0.760 O
0.732 0.000 0.850 O
0.918 0.500 0.902 O
0.041 0.232 0.730 F
0.041 0.768 0.730 F
0.098 0.500 0.521 F
0.265 0.227 0.023 F
0.265 0.773 0.023 F
0.283 0.000 0.265 F
0.359 0.251 0.658 F
0.359 0.749 0.658 F
0.511 0.274 0.205 F
0.511 0.726 0.205 F
0.821 0.266 0.523 F
0.821 0.734 0.523 F
0.991 0.244 0.240 F
0.991 0.756 0.240 F
```



No. 7
# LiCa2TeO6
Calculated powder XRD pattern, copper Kα. Input: a crystal structure in the Materials Project, relaxed with PBE.

The 12 most intense peaks (2θ = 10–80°), in order of rising 2θ:
- 2θ = 19.2°, rel. 100
- 2θ = 19.4°, rel. 37
- 2θ = 19.8°, rel. 48
- 2θ = 22.2°, rel. 21
- 2θ = 31.0°, rel. 25
- 2θ = 31.9°, rel. 50
- 2θ = 32.2°, rel. 23
- 2θ = 32.3°, rel. 50
- 2θ = 36.9°, rel. 21
- 2θ = 37.5°, rel. 28
- 2θ = 45.3°, rel. 34
- 2θ = 46.7°, rel. 20

Structural model:
```
LiCa2TeO6
1.0
5.562 0.000 0.000
0.000 5.762 0.000
-5.409 0.000 7.780
Li Ca Te O
2 4 2 12
direct
0.000 0.000 0.000 Li
0.000 0.500 0.500 Li
0.229 0.058 0.744 Ca
0.229 0.442 0.244 Ca
0.771 0.558 0.756 Ca
0.771 0.942 0.256 Ca
0.500 0.000 0.500 Te
0.500 0.500 0.000 Te
0.171 0.187 0.455 O
0.171 0.313 0.955 O
0.263 0.722 0.445 O
0.263 0.778 0.945 O
0.357 0.034 0.260 O
0.357 0.466 0.760 O
0.643 0.534 0.240 O
0.643 0.966 0.740 O
0.737 0.222 0.055 O
0.737 0.278 0.555 O
0.829 0.687 0.045 O
0.829 0.813 0.545 O
```



No. 8
# Ba2Mg17
Calculated powder XRD pattern, copper Kα. Input: a crystal structure in the Materials Project, relaxed with PBE.

The 12 most intense peaks (2θ = 10–80°), in order of rising 2θ:
- 2θ = 11.1°, rel. 18
- 2θ = 16.6°, rel. 35
- 2θ = 23.9°, rel. 73
- 2θ = 29.0°, rel. 50
- 2θ = 30.1°, rel. 22
- 2θ = 33.6°, rel. 57
- 2θ = 33.9°, rel. 100
- 2θ = 34.6°, rel. 47
- 2θ = 48.5°, rel. 26
- 2θ = 49.0°, rel. 34
- 2θ = 54.6°, rel. 21
- 2θ = 61.6°, rel. 21

Structural model:
```
Ba2Mg17
1.0
5.333 3.079 5.180
-5.333 3.079 5.180
0.000 -6.158 5.180
Ba Mg
2 17
direct
0.162 0.162 0.162 Ba
0.838 0.838 0.838 Ba
0.000 0.500 0.500 Mg
0.159 0.159 0.660 Mg
0.159 0.660 0.159 Mg
0.202 0.500 0.798 Mg
0.202 0.798 0.500 Mg
0.340 0.841 0.841 Mg
0.399 0.399 0.399 Mg
0.500 0.000 0.500 Mg
0.500 0.202 0.798 Mg
0.500 0.500 0.000 Mg
0.500 0.798 0.202 Mg
0.601 0.601 0.601 Mg
0.660 0.159 0.159 Mg
0.798 0.202 0.500 Mg
0.798 0.500 0.202 Mg
0.841 0.340 0.841 Mg
0.841 0.841 0.340 Mg
```



No. 9
# Ti3O7
Calculated powder XRD pattern, copper Kα. Input: a crystal structure in the Materials Project, relaxed with PBE.

The 12 most intense peaks (2θ = 10–80°), in order of rising 2θ:
- 2θ = 11.3°, rel. 52
- 2θ = 12.6°, rel. 89
- 2θ = 24.0°, rel. 25
- 2θ = 25.7°, rel. 100
- 2θ = 28.7°, rel. 55
- 2θ = 28.8°, rel. 21
- 2θ = 30.9°, rel. 26
- 2θ = 34.2°, rel. 27
- 2θ = 37.7°, rel. 16
- 2θ = 47.7°, rel. 16
- 2θ = 48.7°, rel. 27
- 2θ = 49.2°, rel. 28

Structural model:
```
Ti3O7
1.0
14.107 -1.868 0.000
14.107 1.868 0.000
-0.168 0.000 9.580
Ti O
6 14
direct
0.191 0.191 0.373 Ti
0.208 0.208 0.042 Ti
0.226 0.226 0.726 Ti
0.774 0.774 0.274 Ti
0.792 0.792 0.958 Ti
0.809 0.809 0.627 Ti
0.131 0.131 0.288 O
0.157 0.157 0.163 O
0.182 0.182 0.869 O
0.192 0.192 0.565 O
0.254 0.254 0.253 O
0.272 0.272 0.939 O
0.292 0.292 0.641 O
0.708 0.708 0.359 O
0.728 0.728 0.061 O
0.746 0.746 0.747 O
0.808 0.808 0.435 O
0.818 0.818 0.131 O
0.843 0.843 0.837 O
0.869 0.869 0.712 O
```